No. 1
For Nd2Ti4O11, a crystal structure in the Materials Project, relaxed with PBE gives the computed powder X-ray diffraction pattern in this record (Cu Kα (λ = 1.5418 Å)).

Crystal structure
Unit cell a=13.707 b=5.128 c=12.843 alpha=90.00 beta=108.89 gamma=90.00
Space group C2/c (No. 15)
One atom of each set of equivalent atoms:
Nd: 0.199 0.002 0.094 [8 per cell]
Ti: 0.032 0.449 0.903 [8 per cell]
Ti: 0.109 0.052 0.311 [8 per cell]
O: 0.000 0.343 0.250 [4 per cell]
O: 0.043 0.144 0.668 [8 per cell]
O: 0.068 0.355 0.057 [8 per cell]
O: 0.140 0.276 0.439 [8 per cell]
O: 0.160 0.231 0.902 [8 per cell]
O: 0.217 0.164 0.277 [8 per cell]

Most intense lines, 2θ = 10–80°, low angle first:
hkl	2θ/deg	Rel. int.
1 1 -2	22.29	28
1 1 2	25.07	79
3 1 0	26.98	100
3 1 -2	27.34	39
1 1 -4	33.02	27
1 1 4	36.93	25
3 1 -6	46.39	26
4 2 2	50.59	48

=====

No. 2
For NdTiO3, a crystal structure in the Materials Project, relaxed with PBE gives the computed powder X-ray diffraction pattern in this record (Cu Kα (λ = 1.5418 Å)).

Crystal structure
Unit cell a=5.736 b=7.855 c=5.506 alpha=90.00 beta=90.00 gamma=90.00
Space group Pnma (No. 62)
One atom of each set of equivalent atoms:
Nd: 0.061 0.250 0.015 [4 per cell]
Ti: 0.000 0.000 0.500 [4 per cell]
O: 0.027 0.750 0.406 [4 per cell]
O: 0.204 0.548 0.799 [8 per cell]

Most intense lines, 2θ = 10–80°, low angle first:
hkl	2θ/deg	Rel. int.
1 0 1	22.38	24
1 1 1	25.12	19
2 0 0	31.19	19
1 2 1	32.05	100
0 0 2	32.53	25
2 0 2	45.68	21
3 1 1	51.95	24
0 4 2	57.71	34

=====

No. 3
For Nd2Ti2O7, a crystal structure in the Materials Project, relaxed with PBE gives the computed powder X-ray diffraction pattern in this record (Cu Kα (λ = 1.5418 Å)).

Crystal structure
Unit cell a=10.390 b=10.390 c=10.390 alpha=90.00 beta=90.00 gamma=90.00
Space group Fd-3m (No. 227, origin choice 2)
One atom of each set of equivalent atoms:
Nd: 0.000 0.000 0.000 [16 per cell]
Ti: 0.000 0.000 0.500 [16 per cell]
O: 0.075 0.375 0.875 [48 per cell]
O: 0.125 0.125 0.125 [8 per cell]

Most intense lines, 2θ = 10–80°, low angle first:
hkl	2θ/deg	Rel. int.
1 1 1	14.77	25
3 1 1	28.49	14
2 2 2	29.79	100
4 0 0	34.53	29
3 3 1	37.74	21
5 1 1	45.35	10
4 4 0	49.63	48
6 2 2	58.97	42

=====

No. 4
For Nd4Zr3TiO14, a crystal structure in the Materials Project, relaxed with PBE gives the computed powder X-ray diffraction pattern in this record (Cu Kα (λ = 1.5418 Å)).

Crystal structure
Unit cell a=7.5645 b=7.5645 c=18.5258 alpha=90.00 beta=90.00 gamma=120.00
Space group R-3m (No. 166, hexagonal axes)
One atom of each set of equivalent atoms:
Nd: 0.0000 0.0000 0.0000 [3 per cell]
Nd: 0.0000 0.5000 0.5000 [9 per cell]
Zr: 0.0000 0.5000 0.0000 [9 per cell]
Ti: 0.0000 0.0000 0.5000 [3 per cell]
O: 0.0000 0.0000 0.1260 [6 per cell]
O: 0.0515 0.5257 0.3646 [18 per cell]
O: 0.0705 0.5353 0.1116 [18 per cell]

Most intense lines, 2θ = 10–80°, low angle first:
hkl	2θ/deg	Rel. int.
1 0 1	14.34	8
2 0 2	28.91	100
0 2 4	33.51	31
1 0 7	36.62	8
2 0 8	48.12	49
2 2 6	57.12	43
4 0 4	59.91	10
4 2 2	77.85	17

=====

No. 5
For Nd3U2O10, a crystal structure in the Materials Project, relaxed with PBE gives the computed powder X-ray diffraction pattern in this record (Cu Kα (λ = 1.5418 Å)).

Crystal structure
Unit cell a=12.002 b=5.494 c=8.518 alpha=90.00 beta=132.53 gamma=90.00
Space group C2/m (No. 12)
One atom of each set of equivalent atoms:
Nd: 0.000 0.000 0.000 [2 per cell]
Nd: 0.100 0.500 0.403 [4 per cell]
U: 0.192 0.000 0.791 [4 per cell]
O: 0.000 0.226 0.500 [4 per cell]
O: 0.107 0.245 0.889 [8 per cell]
O: 0.208 0.262 0.286 [8 per cell]

Most intense lines, 2θ = 10–80°, low angle first:
hkl	2θ/deg	Rel. int.
1 1 1	27.59	100
3 1 -2	28.73	90
0 2 0	32.60	43
2 0 -3	32.71	21
2 0 2	45.35	18
4 2 -1	46.81	65
5 1 0	54.50	15
1 1 -4	54.65	16